(1)
# Ac5PdPt2
Computed X-ray diffraction stick pattern, a wavelength of 1.5418 Å. Input: a structure optimized by DFT (GGA-PBE).
Kinematic intensities with the Lorentz-polarization factor, no thermal factor.

Principal peaks in the range 2θ from 10° to 90°, sorted by position:
d 5.564, 2θ = 15.93°, I = 56; d 4.039, 2θ = 22.01°, I = 39; d 3.291, 2θ = 27.10°, I = 45; d 3.112, 2θ = 28.68°, I = 65; d 3.045, 2θ = 29.33°, I = 100; d 2.824, 2θ = 31.69°, I = 61; d 2.750, 2θ = 32.56°, I = 44; d 2.235, 2θ = 40.36°, I = 43; d 2.179, 2θ = 41.45°, I = 54; d 2.071, 2θ = 43.72°, I = 46

Crystal structure
Lattice parameters (Å, degrees): 7.4871 7.4871 15.0164 90.00 90.00 132.00
Fractional positions:
Ac 0.0553 0.9447 0.6194
Ac 0.0553 0.9447 0.8806
Ac 0.2476 0.7524 0.2500
Ac 0.3408 0.6592 0.5632
Ac 0.3408 0.6592 0.9368
Ac 0.6592 0.3408 0.0632
Ac 0.6592 0.3408 0.4368
Ac 0.7524 0.2476 0.7500
Ac 0.9447 0.0553 0.1194
Ac 0.9447 0.0553 0.3806
Pd 0.2281 0.7719 0.7500
Pd 0.7719 0.2281 0.2500
Pt 0.1547 0.8453 0.0578
Pt 0.1547 0.8453 0.4422
Pt 0.8453 0.1547 0.5578
Pt 0.8453 0.1547 0.9422

(2)
# CeCd9Au2
Computed X-ray diffraction stick pattern, a wavelength of 1.5418 Å. Input: a structure optimized by DFT (GGA-PBE).
Kinematic intensities with the Lorentz-polarization factor, no thermal factor.

Principal peaks in the range 2θ from 10° to 90°, sorted by position:
d 6.399, 2θ = 13.84°, I = 25; d 3.020, 2θ = 29.58°, I = 44; d 2.670, 2θ = 33.57°, I = 81; d 2.654, 2θ = 33.78°, I = 53; d 2.477, 2θ = 36.27°, I = 35; d 2.286, 2θ = 39.42°, I = 35; d 2.266, 2θ = 39.79°, I = 100; d 2.176, 2θ = 41.51°, I = 56; d 1.535, 2θ = 60.29°, I = 25; d 1.327, 2θ = 71.04°, I = 20

Crystal structure
Lattice parameters (Å, degrees): 9.2117 9.2117 9.2117 99.79 99.79 131.29
Fractional positions:
Ce 0.3750 0.6250 0.7500
Ce 0.6250 0.3750 0.2500
Cd 0.1253 0.5544 0.3300
Cd 0.1253 0.7953 0.5709
Cd 0.1250 0.8750 0.2500
Cd 0.2047 0.2756 0.3300
Cd 0.2047 0.8747 0.9291
Cd 0.2756 0.2047 0.8300
Cd 0.2756 0.4456 0.0709
Cd 0.4456 0.2756 0.5709
Cd 0.4456 0.8747 0.1700
Cd 0.5544 0.1253 0.8300
Cd 0.5544 0.7244 0.4291
Cd 0.7244 0.5544 0.9291
Cd 0.7244 0.7953 0.1700
Cd 0.7953 0.1253 0.0709
Cd 0.7953 0.7244 0.6700
Cd 0.8750 0.1250 0.7500
Cd 0.8747 0.2047 0.4291
Cd 0.8747 0.4456 0.6700
Au 0.0000 0.0000 0.0000
Au 0.0000 0.0000 0.5000
Au 0.0000 0.5000 0.0000
Au 0.5000 0.0000 0.5000

(3)
# LiCd6Hg7
Computed X-ray diffraction stick pattern, a wavelength of 1.5418 Å. Input: a structure optimized by DFT (GGA-PBE).
Kinematic intensities with the Lorentz-polarization factor, no thermal factor.

Principal peaks in the range 2θ from 10° to 90°, sorted by position:
d 3.398, 2θ = 26.22°, I = 20; d 3.146, 2θ = 28.37°, I = 34; d 3.062, 2θ = 29.17°, I = 27; d 2.688, 2θ = 33.33°, I = 92; d 2.664, 2θ = 33.64°, I = 61; d 2.589, 2θ = 34.65°, I = 100; d 2.473, 2θ = 36.32°, I = 75; d 2.402, 2θ = 37.44°, I = 45; d 2.277, 2θ = 39.58°, I = 57; d 1.462, 2θ = 63.64°, I = 23

Crystal structure
Lattice parameters (Å, degrees): 10.8260 10.8260 10.8260 146.21 93.25 96.44
Fractional positions:
Li 0.2500 0.2500 0.0000
Li 0.7500 0.7500 0.0000
Cd 0.0031 0.9013 0.5563
Cd 0.1550 0.5987 0.1018
Cd 0.2297 0.5104 0.7401
Cd 0.2703 0.0104 0.2807
Cd 0.3450 0.4468 0.4437
Cd 0.4969 0.0532 0.8982
Cd 0.5031 0.9468 0.1018
Cd 0.6550 0.5532 0.5563
Cd 0.7297 0.9896 0.7193
Cd 0.7703 0.4896 0.2599
Cd 0.8450 0.4013 0.8982
Cd 0.9969 0.0987 0.4437
Hg 0.0034 0.3138 0.0679
Hg 0.0439 0.2624 0.3063
Hg 0.2459 0.9355 0.9321
Hg 0.2500 0.7500 0.5000
Hg 0.2541 0.1862 0.6896
Hg 0.4561 0.7624 0.2186
Hg 0.4966 0.5645 0.3104
Hg 0.5034 0.4355 0.6896
Hg 0.5439 0.2376 0.7814
Hg 0.7459 0.8138 0.3104
Hg 0.7500 0.2500 0.5000
Hg 0.7541 0.0645 0.0679
Hg 0.9561 0.7376 0.6937
Hg 0.9966 0.6862 0.9321